# 1
Mg2ZnIn2Pd4: theoretical powder diffractogram (Cu Kα (λ = 1.5418 Å)), based on a DFT-relaxed cell (GGA-PBE, Alexandria).

Main lines, low angle first (10 to 90 degrees two-theta):
| two_theta | I_rel |
| --- | --- |
| 19.68 | 6.4 |
| 22.06 | 12.3 |
| 29.73 | 31.1 |
| 35.91 | 100.0 |
| 39.98 | 56.3 |
| 44.98 | 20.8 |
| 50.60 | 11.9 |
| 57.82 | 17.7 |
| 61.73 | 27.1 |
| 69.97 | 25.0 |
| 76.12 | 13.9 |
| 77.03 | 8.4 |

Structure:
Cell lengths 6.049, 6.049, 6.049 Å; angles 116.36, 116.36, 96.44 degrees
Element x y z (fractional)
Mg 0.194 0.194 0.000
Mg 0.806 0.806 0.000
Zn 0.500 0.500 0.000
In 0.250 0.750 0.500
In 0.750 0.250 0.500
Pd 0.234 0.234 0.467
Pd 0.234 0.766 0.000
Pd 0.766 0.234 0.000
Pd 0.766 0.766 0.533

=====

# 2
SrGaRuO6: theoretical powder diffractogram (Cu Kα (λ = 1.5418 Å)), based on a DFT-relaxed cell (GGA-PBE, Alexandria).

Main lines, low angle first (10 to 90 degrees two-theta):
| two_theta | I_rel |
| --- | --- |
| 16.52 | 21.4 |
| 25.80 | 100.0 |
| 33.40 | 8.2 |
| 34.42 | 33.3 |
| 38.41 | 11.1 |
| 43.51 | 20.0 |
| 48.72 | 46.2 |
| 55.25 | 9.8 |
| 56.62 | 21.2 |
| 61.65 | 12.8 |
| 78.46 | 8.9 |
| 82.27 | 8.5 |

Structure:
Cell lengths 5.211, 5.211, 5.365 Å; angles 90.00, 90.00, 120.00 degrees
Element x y z (fractional)
Sr 0.000 0.000 0.000
Ga 0.333 0.667 0.500
Ru 0.667 0.333 0.500
O 0.390 0.012 0.702
O 0.390 0.378 0.298
O 0.622 0.012 0.298
O 0.622 0.610 0.702
O 0.988 0.378 0.702
O 0.988 0.610 0.298